# 1
The following is a theoretical X-ray diffraction stick pattern of Pm7Ho4Mg. It was derived from a cell relaxed with PBE, using Cu Kα (λ = 1.5418 Å).
Intensities are scaled so that the largest is 100.

a b c (Å): 11.2187 5.5537 13.1776
angles (deg): 90.00 105.76 90.00
Space group C2/m (No. 12)
Inequivalent atoms, fractional coordinates:
Pm (0.0000, 0.0000, 0.0000) x2
Pm (0.1390, 0.0000, 0.4689) x4
Pm (0.1612, 0.5000, 0.2554) x4
Pm (0.2257, 0.5000, 0.8972) x4
Ho (0.0447, 0.0000, 0.7788) x4
Ho (0.0913, 0.5000, 0.6282) x4
Mg (0.0000, 0.5000, 0.0000) x2

The 6 most intense peaks (2θ = 15–90°), most intense first:
2θ (°), Rel. int., index
29.72, 100, 3 1 -2
29.47, 95, 1 1 3
32.24, 88, 0 2 0
34.75, 41, 2 0 -5
35.85, 37, 4 0 1
48.97, 34, 4 2 1

=====

# 2
The following is a theoretical X-ray diffraction stick pattern of Pm6Ho5Mg. It was derived from a cell relaxed with PBE, using Cu Kα (λ = 1.5418 Å).
Intensities are scaled so that the largest is 100.

a b c (Å): 11.7653 10.7358 6.1868
angles (deg): 90.00 100.41 90.00
Space group C2/m (No. 12)
Inequivalent atoms, fractional coordinates:
Pm (0.2484, 0.0000, 0.2491) x4
Pm (0.2475, 0.3335, 0.2534) x8
Ho (0.0000, 0.0000, 0.5000) x2
Ho (0.0000, 0.1661, 0.0000) x4
Ho (0.0000, 0.3342, 0.5000) x4
Mg (0.0000, 0.5000, 0.0000) x2

The 6 most intense peaks (2θ = 15–90°), most intense first:
2θ (°), Rel. int., index
30.66, 100, 1 3 1
35.56, 45, 3 3 -1
30.91, 33, 4 0 0
51.09, 24, 0 6 0
35.74, 22, 2 0 2
60.76, 19, 2 6 -2

=====

# 3
The following is a theoretical X-ray diffraction stick pattern of Pm9HoMg2. It was derived from a cell relaxed with PBE, using Cu Kα (λ = 1.5418 Å).
Intensities are scaled so that the largest is 100.

a b c (Å): 5.0380 5.0380 15.1895
angles (deg): 90.00 90.00 90.00
Space group P4/mmm (No. 123)
Inequivalent atoms, fractional coordinates:
Pm (0.0000, 0.0000, 0.0000) x1
Pm (0.0000, 0.0000, 0.3356) x2
Pm (0.0000, 0.5000, 0.1696) x4
Pm (0.0000, 0.5000, 0.5000) x2
Ho (0.5000, 0.5000, 0.0000) x1
Mg (0.5000, 0.5000, 0.3368) x2

The 6 most intense peaks (2θ = 15–90°), most intense first:
2θ (°), Rel. int., index
30.69, 100, 1 1 3
35.64, 34, 2 0 0
60.97, 28, 3 1 3
51.16, 24, 2 0 6
35.46, 17, 0 0 6
60.72, 14, 1 1 9

=====

# 4
The following is a theoretical X-ray diffraction stick pattern of Pm2Ho3Mg8. It was derived from a cell relaxed with PBE, using Cu Kα (λ = 1.5418 Å).
Intensities are scaled so that the largest is 100.

a b c (Å): 5.8675 5.8675 37.1818
angles (deg): 90.00 90.00 120.00
Space group R-3m (No. 166, hexagonal axes)
Inequivalent atoms, fractional coordinates:
Pm (0.0000, 0.0000, 0.1390) x6
Ho (0.0000, 0.0000, 0.3160) x6
Ho (0.0000, 0.0000, 0.5000) x3
Mg (0.0000, 0.0000, 0.2257) x6
Mg (0.0006, 0.5003, 0.2717) x18

The 6 most intense peaks (2θ = 15–90°), most intense first:
2θ (°), Rel. int., index
31.80, 100, 0 1 11
30.47, 89, 1 1 0
21.18, 81, 0 1 5
33.80, 73, 1 1 6
54.99, 42, 1 2 11
37.40, 31, 2 0 5